Entry 1:
For GdTiCdSbO7, DFT lattice parameters and positions (PBE) gives the calculated X-ray powder pattern in this record (Cu Ka).

Structure:
```
data_GdTiCdSbO7
_cell_length_a 7.3238
_cell_length_b 7.3238
_cell_length_c 10.3903
_cell_angle_alpha 90.00
_cell_angle_beta 90.00
_cell_angle_gamma 90.00
_space_group_name_H-M_alt 'P 41 2 2'
_space_group_IT_number 91
loop_
_space_group_symop_operation_xyz
'x,y,z'
'-y,x,z+1/4'
'-x,-y,z+1/2'
'y,-x,z+3/4'
'x,-y,-z+1/2'
'-y,-x,-z+1/4'
'-x,y,-z'
'y,x,-z+3/4'
loop_
_atom_site_label
_atom_site_fract_x
_atom_site_fract_y
_atom_site_fract_z
Gd1 0.0000 0.2658 0.0000
Ti1 0.0000 0.2369 0.5000
Cd1 0.2591 0.5000 0.7500
Sb1 0.2437 0.5000 0.2500
O1 0.0479 0.0479 0.3750
O2 0.0529 0.4478 0.3815
O3 0.2347 0.2495 0.1763
O4 0.2531 0.2531 0.8750
O5 0.4497 0.4497 0.3750
```

Principal peaks in the range 10° ≤ 2θ ≤ 90°, low angle first:
2θ/deg, I (rel.), index
19.15, 96, 1 1 1
29.85, 1000, 2 0 2
34.53, 106, 0 0 4
34.64, 205, 2 2 0
37.82, 70, 2 1 3
49.75, 451, 2 2 4
59.00, 139, 2 0 6
59.15, 265, 4 2 2
62.01, 97, 4 0 4
80.77, 106, 4 2 6
80.90, 50, 6 0 2
83.45, 85, 4 4 4

---

Entry 2:
For TbGdTlCd, DFT lattice parameters and positions (PBE) gives the calculated X-ray powder pattern in this record (Cu Ka).

Structure:
```
data_TbGdTlCd
_cell_length_a 7.5783
_cell_length_b 7.5783
_cell_length_c 7.5783
_cell_angle_alpha 90.00
_cell_angle_beta 90.00
_cell_angle_gamma 90.00
_space_group_name_H-M_alt 'F -4 3 m'
_space_group_IT_number 216
_space_group_name_Hall 'F -4 2 3'
loop_
_atom_site_label
_atom_site_fract_x
_atom_site_fract_y
_atom_site_fract_z
Tb1 0.0000 0.0000 0.0000
Gd1 0.0000 0.0000 0.5000
Tl1 0.2500 0.2500 0.2500
Cd1 0.2500 0.2500 0.7500
```

Principal peaks in the range 10° ≤ 2θ ≤ 90°, low angle first:
2θ/deg, I (rel.), index
20.30, 40, 1 1 1
33.44, 1000, 2 2 0
39.44, 24, 3 1 1
48.02, 182, 4 0 0
52.64, 11, 3 3 1
59.78, 377, 4 2 2
63.82, 9, 5 1 1
70.26, 116, 4 4 0
74.00, 9, 5 3 1
80.09, 163, 6 2 0
89.63, 43, 4 4 4

---

Entry 3:
For GdTmZnCd, DFT lattice parameters and positions (PBE) gives the calculated X-ray powder pattern in this record (Cu Ka).

Structure:
```
data_GdTmZnCd
_cell_length_a 7.3166
_cell_length_b 7.3166
_cell_length_c 7.3166
_cell_angle_alpha 90.00
_cell_angle_beta 90.00
_cell_angle_gamma 90.00
_space_group_name_H-M_alt 'F -4 3 m'
_space_group_IT_number 216
_space_group_name_Hall 'F -4 2 3'
loop_
_atom_site_label
_atom_site_fract_x
_atom_site_fract_y
_atom_site_fract_z
Gd1 0.0000 0.0000 0.0000
Tm1 0.0000 0.0000 0.5000
Zn1 0.2500 0.2500 0.2500
Cd1 0.2500 0.2500 0.7500
```

Principal peaks in the range 10° ≤ 2θ ≤ 90°, low angle first:
2θ/deg, I (rel.), index
21.03, 19, 1 1 1
24.33, 87, 2 0 0
34.68, 1000, 2 2 0
40.91, 10, 3 1 1
42.81, 27, 2 2 2
49.85, 177, 4 0 0
56.23, 39, 4 2 0
62.15, 361, 4 2 2
73.17, 111, 4 4 0
78.42, 20, 6 0 0
83.58, 157, 6 2 0
88.68, 12, 6 2 2

---

Entry 4:
For CdGe, DFT lattice parameters and positions (PBE) gives the calculated X-ray powder pattern in this record (Cu Ka).

Structure:
```
data_CdGe
_cell_length_a 2.9182
_cell_length_b 5.5441
_cell_length_c 5.5765
_cell_angle_alpha 81.45
_cell_angle_beta 76.38
_cell_angle_gamma 89.11
_space_group_name_H-M_alt 'P 1'
_space_group_IT_number 1
loop_
_space_group_symop_operation_xyz
'x,y,z'
loop_
_atom_site_label
_atom_site_fract_x
_atom_site_fract_y
_atom_site_fract_z
Cd1 0.0000 0.0000 0.0000
Cd2 0.4992 0.4967 0.0012
Ge1 0.7181 0.9988 0.5293
Ge2 0.7827 0.5069 0.4704
```

Principal peaks in the range 10° ≤ 2θ ≤ 90°, low angle first:
2θ/deg, I (rel.), index
16.54, 239, 0 0 1
32.67, 1000, 0 2 0
33.44, 891, 0 0 2
35.21, 315, 1 1 1
35.34, 230, 1 -1 0
36.95, 258, 1 -1 1
41.45, 285, -1 1 1
42.11, 213, 1 1 2
43.57, 427, 0 2 2
44.01, 251, 1 1 -1
45.58, 242, 1 -1 2
51.10, 274, 0 2 -2

---

Entry 5:
For CdGe2HO6, DFT lattice parameters and positions (PBE) gives the calculated X-ray powder pattern in this record (Cu Ka).

Structure:
```
data_CdGe2HO6
_cell_length_a 10.6627
_cell_length_b 9.9390
_cell_length_c 5.2064
_cell_angle_alpha 90.00
_cell_angle_beta 114.25
_cell_angle_gamma 90.00
_space_group_name_H-M_alt 'C 1 2/c 1'
_space_group_IT_number 15
loop_
_space_group_symop_operation_xyz
'x,y,z'
'-x,-y,-z'
'-x,y,-z+1/2'
'x,-y,z+1/2'
'x+1/2,y+1/2,z'
'-x+1/2,-y+1/2,-z'
'-x+1/2,y+1/2,-z+1/2'
'x+1/2,-y+1/2,z+1/2'
loop_
_atom_site_label
_atom_site_fract_x
_atom_site_fract_y
_atom_site_fract_z
Cd1 0.0000 0.1252 0.2500
Ge1 0.1800 0.4151 0.1719
H1 0.0000 0.2776 0.7500
O1 0.0879 0.2706 0.9963
O2 0.1328 0.4364 0.4613
O3 0.1376 0.0782 0.6847
```

Principal peaks in the range 10° ≤ 2θ ≤ 90°, low angle first:
2θ/deg, I (rel.), index
17.85, 159, 0 2 0
19.30, 159, 1 1 -1
25.64, 469, 1 1 1
26.98, 1000, 2 2 -1
28.98, 627, 3 1 0
32.06, 136, 1 3 -1
36.21, 510, 0 4 0
36.37, 159, 1 3 1
40.80, 201, 4 0 -2
50.92, 140, 5 3 -1
52.17, 136, 4 2 1
56.37, 140, 2 2 -3

---

Entry 6:
For CdHg2GeI, DFT lattice parameters and positions (PBE) gives the calculated X-ray powder pattern in this record (Cu Ka).

Structure:
```
data_CdHg2GeI
_cell_length_a 5.3609
_cell_length_b 5.3609
_cell_length_c 5.4262
_cell_angle_alpha 90.00
_cell_angle_beta 90.00
_cell_angle_gamma 90.00
_space_group_name_H-M_alt 'P 4/m m m'
_space_group_IT_number 123
_space_group_name_Hall '-P 4 2'
loop_
_atom_site_label
_atom_site_fract_x
_atom_site_fract_y
_atom_site_fract_z
Cd1 0.0000 0.0000 0.0000
Hg1 0.0000 0.5000 0.5000
Ge1 0.0000 0.0000 0.5000
I1 0.5000 0.5000 0.0000
```

Principal peaks in the range 10° ≤ 2θ ≤ 90°, low angle first:
2θ/deg, I (rel.), index
16.34, 154, 0 0 1
28.73, 1000, 1 1 1
33.02, 281, 0 0 2
33.43, 543, 2 0 0
37.43, 95, 2 0 1
47.69, 402, 2 0 2
48.00, 197, 2 2 0
56.36, 153, 1 1 3
56.90, 297, 3 1 1
59.49, 207, 2 2 2
77.11, 124, 3 1 3
89.35, 142, 4 2 2

---

Entry 7:
For Tl2CdGeI6, DFT lattice parameters and positions (PBE) gives the calculated X-ray powder pattern in this record (Cu Ka).

Structure:
```
data_Tl2CdGeI6
_cell_length_a 8.0794
_cell_length_b 8.4137
_cell_length_c 8.4659
_cell_angle_alpha 100.62
_cell_angle_beta 110.37
_cell_angle_gamma 115.74
_space_group_name_H-M_alt 'P 1'
_space_group_IT_number 1
loop_
_space_group_symop_operation_xyz
'x,y,z'
loop_
_atom_site_label
_atom_site_fract_x
_atom_site_fract_y
_atom_site_fract_z
Tl1 0.0000 0.0000 0.0000
Tl2 0.0158 0.4975 0.5155
Cd1 0.5273 0.6997 0.2134
Ge1 0.4379 0.1752 0.6398
I1 0.2741 0.8187 0.2945
I2 0.3457 0.9729 0.8494
I3 0.4772 0.5465 0.8539
I4 0.4950 0.4106 0.3483
I5 0.8619 0.3135 0.8139
I6 0.9340 0.0380 0.3833
```

Principal peaks in the range 10° ≤ 2θ ≤ 90°, low angle first:
2θ/deg, I (rel.), index
18.80, 603, 1 -1 1
20.87, 796, 0 1 1
21.47, 949, 1 0 -2
23.50, 534, 1 1 0
23.61, 473, 2 -1 0
25.76, 747, 2 -2 0
26.42, 534, -1 2 1
26.83, 704, 2 0 -2
27.54, 1000, 0 2 -2
28.01, 799, 2 0 0
35.68, 892, 0 3 -1
43.87, 462, 3 -1 1

---

Entry 8:
For CdInGe2, DFT lattice parameters and positions (PBE) gives the calculated X-ray powder pattern in this record (Cu Ka).

Structure:
```
data_CdInGe2
_cell_length_a 7.8951
_cell_length_b 7.8951
_cell_length_c 5.8649
_cell_angle_alpha 90.00
_cell_angle_beta 90.00
_cell_angle_gamma 90.00
_space_group_name_H-M_alt 'I -4 2 d'
_space_group_IT_number 122
_space_group_name_Hall 'I -4 2bw'
loop_
_atom_site_label
_atom_site_fract_x
_atom_site_fract_y
_atom_site_fract_z
Cd1 0.0000 0.0000 0.0000
In1 0.0000 0.0000 0.5000
Ge1 0.2494 0.7500 0.6250
```

Principal peaks in the range 10° ≤ 2θ ≤ 90°, low angle first:
2θ/deg, I (rel.), index
22.52, 109, 2 0 0
32.06, 1000, 2 2 0
34.55, 854, 1 1 2
45.98, 360, 4 0 0
47.85, 667, 3 1 2
58.77, 176, 3 3 2
67.06, 112, 4 4 0
68.23, 213, 2 0 4
68.53, 219, 5 1 2
76.28, 154, 6 2 0
77.68, 153, 5 3 2
86.23, 228, 4 2 4